Starting from a crystal structure in OQMD, relaxed with PBE, the PXRD pattern of AuF was computed for λ = 1.5418 Å (Cu Kα).

Principal peaks in the range 2θ from 10° to 90°, by intensity:
- 2θ 43.33, I 100, (1 0 1)
- 2θ 36.28, I 67, (1 0 0)
- 2θ 22.88, I 62, (0 0 1)
- 2θ 60.57, I 31, (1 0 2)
- 2θ 70.15, I 19, (1 1 1)
- 2θ 81.62, I 16, (2 0 1)
- 2θ 84.05, I 16, (1 1 2)
- 2θ 65.28, I 16, (1 1 0)
- 2θ 84.37, I 15, (1 0 3)
- 2θ 46.74, I 15, (0 0 2)

Crystal structure
Cell: 2.8588 2.8588 3.8872 Å, 90.00 90.00 120.00°
Space group P-6m2 (No. 187)
Symmetry-distinct sites (fractional):
Au (0.0000, 0.0000, 0.0000)
F (0.6667, 0.3333, 0.5000)